[1]
Structure and theoretical PXRD pattern of TaCoSb (a cell relaxed with PBE; CuKα).
Intensities are scaled so that the largest is 100.

Cell and atoms:
```
TaCoSb
1.0
0.000 2.984 2.984
2.984 0.000 2.984
2.984 2.984 0.000
Ta Co Sb
1 1 1
Direct
0.000 0.000 0.000
0.250 0.250 0.250
0.500 0.500 0.500
```

Most intense lines, 2θ = 10–90°, in order of rising 2θ:
two_theta	d [Å]	I/Imax
25.9	3.446	14
29.9	2.984	57
42.9	2.110	100
50.7	1.800	7
53.2	1.723	16
62.2	1.492	16
68.5	1.369	3
70.6	1.335	20
78.5	1.218	33
84.3	1.149	2

[2]
Structure and theoretical PXRD pattern of MgTe2Mo2W2Se4S2 (a cell relaxed with PBE; CuKα).
Intensities are scaled so that the largest is 100.

Cell and atoms:
```
MgTe2Mo2W2Se4S2
1.0
2.892 -1.669 0.000
2.892 1.669 0.000
-0.187 0.000 45.267
Mg Te Mo W Se S
1 2 2 2 4 2
Direct
0.000 0.000 0.000
0.001 0.001 0.513
0.999 0.999 0.429
0.333 0.333 0.471
0.334 0.334 0.101
0.000 0.000 0.283
0.002 0.002 0.898
0.002 0.002 0.138
0.332 0.332 0.246
0.335 0.335 0.320
0.999 0.999 0.064
0.334 0.334 0.864
0.337 0.337 0.932
```

Most intense lines, 2θ = 10–90°, in order of rising 2θ:
two_theta	d [Å]	I/Imax
11.7	7.545	67
15.7	5.658	25
30.9	2.891	99
31.2	2.868	18
32.5	2.755	46
34.8	2.576	100
40.5	2.228	74
40.6	2.222	74
41.9	2.157	35
42.0	2.153	23
55.0	1.669	62
56.0	1.642	33

[3]
Structure and theoretical PXRD pattern of RbCaBr3 (a cell relaxed with PBE; CuKα).
Intensities are scaled so that the largest is 100.

Cell and atoms:
```
RbCaBr3
1.0
4.060 -4.062 0.000
4.060 4.062 0.000
-0.009 0.000 5.740
Rb Ca Br
1 1 3
Direct
0.000 0.000 0.000
0.497 0.497 0.485
0.000 0.497 0.488
0.497 0.000 0.488
0.509 0.509 0.986
```

Most intense lines, 2θ = 10–90°, in order of rising 2θ:
two_theta	d [Å]	I/Imax
15.4	5.742	6
21.9	4.060	7
26.9	3.315	100
31.2	2.871	85
44.6	2.030	61
52.9	1.731	44
55.4	1.658	21
65.0	1.436	10
71.6	1.318	15
73.8	1.284	26
82.2	1.172	15
88.5	1.105	13

[4]
Structure and theoretical PXRD pattern of CrN2 (a cell relaxed with PBE; CuKα).
Intensities are scaled so that the largest is 100.

Cell and atoms:
```
CrN2
1.0
9.332 0.000 0.000
0.000 5.382 0.000
-6.141 0.000 8.936
Cr N
8 16
Direct
0.120 0.095 0.297
0.120 0.405 0.797
0.371 0.229 0.674
0.371 0.271 0.174
0.629 0.729 0.826
0.629 0.771 0.326
0.880 0.595 0.203
0.880 0.905 0.703
0.059 0.719 0.771
0.059 0.781 0.271
0.221 0.168 0.207
0.221 0.332 0.707
0.261 0.152 0.485
0.261 0.348 0.985
0.482 0.533 0.280
0.482 0.967 0.780
0.518 0.033 0.220
0.518 0.467 0.720
0.739 0.652 0.015
0.739 0.848 0.515
0.779 0.668 0.293
0.779 0.832 0.793
0.941 0.219 0.729
0.941 0.281 0.229
```

Most intense lines, 2θ = 10–90°, in order of rising 2θ:
two_theta	d [Å]	I/Imax
19.3	4.599	9
19.9	4.468	48
20.2	4.403	100
25.3	3.526	9
25.5	3.498	21
25.9	3.438	6
32.8	2.727	13
33.1	2.710	12
33.3	2.693	14
34.5	2.603	6
34.9	2.574	14
56.6	1.626	6

[5]
Structure and theoretical PXRD pattern of Mg6Si5 (a cell relaxed with PBE; CuKα).
Intensities are scaled so that the largest is 100.

Cell and atoms:
```
Mg6Si5
1.0
4.228 0.000 0.000
0.049 6.860 0.000
0.423 0.501 14.319
Mg Si
12 10
Direct
0.000 0.000 0.000
0.000 0.458 0.202
0.458 0.591 0.704
0.467 0.243 0.561
0.474 0.756 0.490
0.487 0.145 0.320
0.498 0.812 0.154
0.506 0.274 0.079
0.948 0.274 0.760
0.973 0.767 0.829
0.979 0.417 0.420
0.987 0.814 0.323
0.012 0.531 0.013
0.371 0.434 0.883
0.454 0.991 0.716
0.489 0.559 0.315
0.504 0.066 0.882
0.512 0.731 0.969
0.964 0.890 0.626
0.969 0.537 0.595
0.972 0.042 0.469
0.997 0.075 0.182
```

Most intense lines, 2θ = 10–90°, in order of rising 2θ:
two_theta	d [Å]	I/Imax
33.8	2.650	49
34.5	2.598	41
35.3	2.541	63
35.5	2.526	29
36.0	2.496	43
36.2	2.484	78
36.4	2.465	50
37.4	2.404	49
38.5	2.339	52
42.8	2.113	100
44.6	2.033	31
46.4	1.957	29

[6]
Structure and theoretical PXRD pattern of CrRh2Se4 (a cell relaxed with PBE; CuKα).
Intensities are scaled so that the largest is 100.

Cell and atoms:
```
CrRh2Se4
1.0
6.363 -1.860 0.000
6.363 1.860 0.000
-3.246 0.000 5.713
Cr Rh Se
1 2 4
Direct
0.000 0.000 0.000
0.260 0.260 0.275
0.740 0.740 0.725
0.128 0.128 0.457
0.367 0.367 0.028
0.633 0.633 0.972
0.872 0.872 0.543
```

Most intense lines, 2θ = 10–90°, in order of rising 2θ:
two_theta	d [Å]	I/Imax
16.0	5.532	49
31.9	2.810	100
32.0	2.793	51
42.2	2.143	17
42.7	2.116	51
43.3	2.090	62
48.2	1.887	58
49.0	1.860	29
57.9	1.594	21
59.7	1.548	17
67.4	1.389	13
87.3	1.117	11

[7]
Structure and theoretical PXRD pattern of Na6CaSi2Sn3P4O24 (a cell relaxed with PBE; CuKα).
Intensities are scaled so that the largest is 100.

Cell and atoms:
```
Na6CaSi2Sn3P4O24
1.0
9.089 0.000 0.000
-4.506 7.906 0.000
-4.528 -2.635 7.496
Na Ca Si Sn P O
6 1 2 3 4 24
Direct
0.000 0.000 0.000
0.012 0.137 0.548
0.157 0.386 0.279
0.169 0.892 0.791
0.307 0.635 0.033
0.374 0.829 0.593
0.874 0.252 0.850
0.667 0.833 0.538
0.668 0.937 0.048
0.468 0.539 0.730
0.471 0.044 0.237
0.875 0.742 0.348
0.363 0.143 0.530
0.388 0.345 0.039
0.979 0.661 0.052
0.980 0.449 0.545
0.009 0.629 0.522
0.011 0.446 0.723
0.019 0.518 0.051
0.146 0.834 0.047
0.150 0.446 0.540
0.178 0.977 0.522
0.220 0.339 0.045
0.338 0.299 0.542
0.350 0.110 0.353
0.363 0.363 0.859
0.366 0.164 0.045
0.487 0.943 0.047
0.493 0.649 0.542
0.520 0.870 0.362
0.521 0.758 0.865
0.553 0.171 0.690
0.600 0.501 0.200
0.770 0.613 0.885
0.773 0.278 0.386
0.787 0.891 0.225
0.813 0.004 0.713
0.831 0.808 0.528
0.841 0.115 0.050
0.997 0.708 0.225
```

Most intense lines, 2θ = 10–90°, in order of rising 2θ:
two_theta	d [Å]	I/Imax
11.9	7.462	19
13.7	6.452	32
19.4	4.575	100
19.5	4.547	47
22.9	3.887	32
27.6	3.235	29
30.9	2.897	66
31.0	2.888	35
34.0	2.636	28
34.1	2.632	37
34.2	2.621	20
46.6	1.947	25